1.
Diffraction record for Mg2FeRe. The powder XRD pattern is theoretical, not measured: it uses a crystal structure in OQMD, relaxed with PBE and λ = 1.5418 Å (Cu Kα).
Peak positions follow from Bragg's law for the DFT cell and can differ from measured ones.

The 10 most intense peaks (2θ from 10° to 90°), by angle:
2θ (°)  I (rel.)  (hkl)
25.10  75.2  1 1 1
29.06  23.0  2 0 0
41.56  100.0  2 2 0
49.17  37.7  3 1 1
51.51  6.8  2 2 2
60.24  16.4  4 0 0
66.30  15.6  3 3 1
68.25  9.2  4 2 0
75.84  32.8  4 2 2
81.36  12.0  5 1 1

Crystal structure
```
data_Mg2FeRe
_chemical_formula_sum 'Mg8 Fe4 Re4'
_cell_length_a 6.1455
_cell_length_b 6.1455
_cell_length_c 6.1455
_cell_angle_alpha 90.00
_cell_angle_beta 90.00
_cell_angle_gamma 90.00
_symmetry_space_group_name_H-M 'F -4 3 m'
_symmetry_Int_Tables_number 216
_symmetry_space_group_name_Hall 'F -4 2 3'
loop_
_atom_site_label
_atom_site_type_symbol
_atom_site_fract_x
_atom_site_fract_y
_atom_site_fract_z
Mg1 Mg 0.0000 0.0000 0.0000
Mg2 Mg 0.2500 0.2500 0.2500
Fe1 Fe 0.0000 0.0000 0.5000
Re1 Re 0.2500 0.2500 0.7500
```


2.
Diffraction record for MgFeSbW. The powder XRD pattern is theoretical, not measured: it uses a crystal structure in OQMD, relaxed with PBE and λ = 1.5418 Å (Cu Kα).
Peak positions follow from Bragg's law for the DFT cell and can differ from measured ones.

The 10 most intense peaks (2θ from 10° to 90°), by angle:
2θ (°)  I (rel.)  (hkl)
24.14  39.0  1 1 1
27.94  7.5  2 0 0
39.93  100.0  2 2 0
47.21  20.3  3 1 1
57.75  16.7  4 0 0
63.50  8.6  3 3 1
65.35  2.8  4 2 0
72.52  33.5  4 2 2
77.70  6.6  5 1 1
86.15  10.8  4 4 0

Crystal structure
```
data_MgFeSbW
_chemical_formula_sum 'Mg4 Fe4 Sb4 W4'
_cell_length_a 6.3858
_cell_length_b 6.3858
_cell_length_c 6.3858
_cell_angle_alpha 90.00
_cell_angle_beta 90.00
_cell_angle_gamma 90.00
_symmetry_space_group_name_H-M 'F -4 3 m'
_symmetry_Int_Tables_number 216
_symmetry_space_group_name_Hall 'F -4 2 3'
loop_
_atom_site_label
_atom_site_type_symbol
_atom_site_fract_x
_atom_site_fract_y
_atom_site_fract_z
Mg1 Mg 0.0000 0.0000 0.0000
Fe1 Fe 0.2500 0.2500 0.7500
Sb1 Sb 0.0000 0.0000 0.5000
W1 W 0.2500 0.2500 0.2500
```


3.
Diffraction record for MgFe2Se3. The powder XRD pattern is theoretical, not measured: it uses a crystal structure in OQMD, relaxed with PBE and λ = 1.5418 Å (Cu Kα).
Peak positions follow from Bragg's law for the DFT cell and can differ from measured ones.

The 10 most intense peaks (2θ from 10° to 90°), by angle:
2θ (°)  I (rel.)  (hkl)
14.22  67.8  0 2 0
32.05  21.9  0 2 3
33.36  33.4  1 3 0
34.74  75.3  1 3 1
38.42  57.8  0 0 4
38.63  100.0  1 3 2
47.92  27.0  0 6 2
48.81  32.2  1 5 2
51.91  30.1  2 0 0
60.21  29.8  1 3 5

Crystal structure
```
data_MgFe2Se3
_chemical_formula_sum 'Mg4 Fe8 Se12'
_cell_length_a 3.5226
_cell_length_b 12.4572
_cell_length_c 9.3718
_cell_angle_alpha 90.00
_cell_angle_beta 90.00
_cell_angle_gamma 90.00
_symmetry_space_group_name_H-M 'C m c m'
_symmetry_Int_Tables_number 63
_symmetry_space_group_name_Hall '-C 2c 2'
loop_
_atom_site_label
_atom_site_type_symbol
_atom_site_fract_x
_atom_site_fract_y
_atom_site_fract_z
Mg1 Mg 0.0000 0.2303 0.2500
Fe1 Fe 0.0000 0.0000 0.0000
Fe2 Fe 0.0000 0.4522 0.7500
Se1 Se 0.0000 0.0809 0.7500
Se2 Se 0.0000 0.3648 0.5308
```


4.
Diffraction record for MgFe2Si. The powder XRD pattern is theoretical, not measured: it uses a crystal structure in OQMD, relaxed with PBE and λ = 1.5418 Å (Cu Kα).
Peak positions follow from Bragg's law for the DFT cell and can differ from measured ones.

The 10 most intense peaks (2θ from 10° to 90°), by angle:
2θ (°)  I (rel.)  (hkl)
15.32  9.4  1 0 0
30.92  18.6  2 0 0
34.68  2.8  2 1 0
44.29  100.0  2 2 0
47.14  4.5  3 0 0
54.99  3.2  2 2 2
57.44  6.6  3 2 0
64.43  13.7  4 0 0
66.67  3.7  3 2 2
81.53  24.6  4 2 2

Crystal structure
```
data_MgFe2Si
_chemical_formula_sum 'Mg4 Fe8 Si4'
_cell_length_a 5.7841
_cell_length_b 5.7841
_cell_length_c 5.7841
_cell_angle_alpha 90.00
_cell_angle_beta 90.00
_cell_angle_gamma 90.00
_symmetry_space_group_name_H-M 'P m -3 m'
_symmetry_Int_Tables_number 221
_symmetry_space_group_name_Hall '-P 4 2 3'
loop_
_atom_site_label
_atom_site_type_symbol
_atom_site_fract_x
_atom_site_fract_y
_atom_site_fract_z
Mg1 Mg 0.0000 0.0000 0.0000
Mg2 Mg 0.0000 0.0000 0.5000
Fe1 Fe 0.2710 0.2710 0.2710
Si1 Si 0.0000 0.5000 0.5000
Si2 Si 0.5000 0.5000 0.5000
```


5.
Diffraction record for YMgFeSi. The powder XRD pattern is theoretical, not measured: it uses a crystal structure in OQMD, relaxed with PBE and λ = 1.5418 Å (Cu Kα).
Peak positions follow from Bragg's law for the DFT cell and can differ from measured ones.

The 10 most intense peaks (2θ from 10° to 90°), by angle:
2θ (°)  I (rel.)  (hkl)
23.57  6.1  1 1 1
27.28  28.8  2 0 0
38.97  100.0  2 2 0
46.05  3.1  3 1 1
48.22  7.7  2 2 2
56.29  16.3  4 0 0
61.86  1.4  3 3 1
63.65  9.5  4 2 0
70.58  31.9  4 2 2
83.68  9.9  4 4 0

Crystal structure
```
data_YMgFeSi
_chemical_formula_sum 'Y4 Mg4 Fe4 Si4'
_cell_length_a 6.5376
_cell_length_b 6.5376
_cell_length_c 6.5376
_cell_angle_alpha 90.00
_cell_angle_beta 90.00
_cell_angle_gamma 90.00
_symmetry_space_group_name_H-M 'F -4 3 m'
_symmetry_Int_Tables_number 216
_symmetry_space_group_name_Hall 'F -4 2 3'
loop_
_atom_site_label
_atom_site_type_symbol
_atom_site_fract_x
_atom_site_fract_y
_atom_site_fract_z
Y1 Y 0.0000 0.0000 0.0000
Mg1 Mg 0.2500 0.2500 0.7500
Fe1 Fe 0.0000 0.0000 0.5000
Si1 Si 0.2500 0.2500 0.2500
```


6.
Diffraction record for Y4Mg3Fe2. The powder XRD pattern is theoretical, not measured: it uses a crystal structure in OQMD, relaxed with PBE and λ = 1.5418 Å (Cu Kα).
Peak positions follow from Bragg's law for the DFT cell and can differ from measured ones.

The 10 most intense peaks (2θ from 10° to 90°), by angle:
2θ (°)  I (rel.)  (hkl)
11.50  44.4  0 0 1
13.88  48.8  1 0 -1
23.96  25.0  2 0 -1
31.31  31.3  2 0 1
33.24  90.0  0 1 2
33.85  100.0  2 1 -1
35.65  34.7  2 0 -3
36.87  25.2  2 1 -2
39.55  38.2  2 1 1
48.18  27.6  0 2 0

Crystal structure
```
data_Y4Mg3Fe2
_chemical_formula_sum 'Y4 Mg3 Fe2'
_cell_length_a 7.4863
_cell_length_b 3.7772
_cell_length_c 8.1774
_cell_angle_alpha 90.00
_cell_angle_beta 109.79
_cell_angle_gamma 90.00
_symmetry_space_group_name_H-M 'P 1 2/m 1'
_symmetry_Int_Tables_number 10
loop_
_symmetry_equiv_pos_as_xyz
'x,y,z'
'-x,-y,-z'
'-x,y,-z'
'x,-y,z'
loop_
_atom_site_label
_atom_site_type_symbol
_atom_site_fract_x
_atom_site_fract_y
_atom_site_fract_z
Y1 Y 0.0936 0.0000 0.2265
Y2 Y 0.3907 0.0000 0.6862
Mg1 Mg 0.0000 0.5000 0.5000
Mg2 Mg 0.2906 0.5000 0.0041
Fe1 Fe 0.3620 0.5000 0.4015
```


7.
Diffraction record for Y4Fe3Mo2N3. The powder XRD pattern is theoretical, not measured: it uses a crystal structure in OQMD, relaxed with PBE and λ = 1.5418 Å (Cu Kα).
Peak positions follow from Bragg's law for the DFT cell and can differ from measured ones.

The 10 most intense peaks (2θ from 10° to 90°), by angle:
2θ (°)  I (rel.)  (hkl)
31.77  34.9  1 -1 0
32.42  18.7  1 -1 1
32.75  56.6  1 2 -1
37.39  71.4  -1 1 3
37.45  60.6  1 -1 3
37.61  100.0  2 1 3
37.77  87.8  2 1 -3
39.13  45.3  0 0 6
41.53  18.7  1 2 4
56.77  29.9  3 0 0

Crystal structure
```
data_Y4Fe3Mo2N3
_chemical_formula_sum 'Y8 Fe6 Mo4 N6'
_cell_length_a 5.5781
_cell_length_b 5.5831
_cell_length_c 13.8133
_cell_angle_alpha 89.72
_cell_angle_beta 89.81
_cell_angle_gamma 60.66
_symmetry_space_group_name_H-M 'P -1'
_symmetry_Int_Tables_number 2
loop_
_symmetry_equiv_pos_as_xyz
'x,y,z'
'-x,-y,-z'
loop_
_atom_site_label
_atom_site_type_symbol
_atom_site_fract_x
_atom_site_fract_y
_atom_site_fract_z
Y1 Y 0.0078 0.1585 0.0924
Y2 Y 0.3293 0.1669 0.6192
Y3 Y 0.3321 0.1718 0.8804
Y4 Y 0.3406 0.4935 0.4072
Fe1 Fe 0.1444 0.8732 0.2597
Fe2 Fe 0.1875 0.3204 0.2484
Fe3 Fe 0.3617 0.6516 0.7580
Mo1 Mo 0.0100 0.1612 0.4214
Mo2 Mo 0.3388 0.4884 0.0787
N1 N 0.0000 0.5000 0.0000
N2 N 0.0000 0.5000 0.5000
N3 N 0.3173 0.8562 0.5018
N4 N 0.3568 0.8171 0.0019
```


8.
Diffraction record for Zr2Fe3Mo4N3. The powder XRD pattern is theoretical, not measured: it uses a crystal structure in OQMD, relaxed with PBE and λ = 1.5418 Å (Cu Kα).
Peak positions follow from Bragg's law for the DFT cell and can differ from measured ones.

The 10 most intense peaks (2θ from 10° to 90°), by angle:
2θ (°)  I (rel.)  (hkl)
34.22  13.4  3 1 -1
34.79  15.3  0 2 1
34.92  31.8  3 1 0
40.04  51.7  0 2 3
40.16  100.0  3 1 -4
41.44  26.8  0 0 6
44.00  13.4  4 0 -4
44.24  20.4  0 2 4
61.10  15.8  3 3 -1
68.16  15.7  3 3 3

Crystal structure
```
data_Zr2Fe3Mo4N3
_chemical_formula_sum 'Zr8 Fe12 Mo16 N12'
_cell_length_a 9.0656
_cell_length_b 5.2606
_cell_length_c 13.4210
_cell_angle_alpha 90.00
_cell_angle_beta 103.05
_cell_angle_gamma 90.00
_symmetry_space_group_name_H-M 'C 1 2/c 1'
_symmetry_Int_Tables_number 15
loop_
_symmetry_equiv_pos_as_xyz
'x,y,z'
'-x,-y,-z'
'-x,y,-z+1/2'
'x,-y,z+1/2'
'x+1/2,y+1/2,z'
'-x+1/2,-y+1/2,-z'
'-x+1/2,y+1/2,-z+1/2'
'x+1/2,-y+1/2,z+1/2'
loop_
_atom_site_label
_atom_site_type_symbol
_atom_site_fract_x
_atom_site_fract_y
_atom_site_fract_z
Zr1 Zr 0.0429 0.0834 0.3791
Fe1 Fe 0.0000 0.4134 0.7500
Fe2 Fe 0.2503 0.1658 0.7498
Mo1 Mo 0.1122 0.4253 0.5860
Mo2 Mo 0.2165 0.4129 0.9135
N1 N 0.0757 0.2256 0.0004
N2 N 0.2500 0.2500 0.5000
```


9.
Diffraction record for Zr4Fe3Mo2N3. The powder XRD pattern is theoretical, not measured: it uses a crystal structure in OQMD, relaxed with PBE and λ = 1.5418 Å (Cu Kα).
Peak positions follow from Bragg's law for the DFT cell and can differ from measured ones.

The 10 most intense peaks (2θ from 10° to 90°), by angle:
2θ (°)  I (rel.)  (hkl)
26.12  17.4  0 0 4
34.17  45.9  3 1 0
34.53  31.0  0 2 1
39.08  100.0  3 1 -4
39.41  52.2  0 2 3
39.62  22.8  0 0 6
42.98  35.6  3 1 -5
43.28  16.3  0 2 4
60.40  18.6  3 3 -1
66.93  19.3  3 3 -5

Crystal structure
```
data_Zr4Fe3Mo2N3
_chemical_formula_sum 'Zr16 Fe12 Mo8 N12'
_cell_length_a 9.2960
_cell_length_b 5.2903
_cell_length_c 13.9869
_cell_angle_alpha 90.00
_cell_angle_beta 102.66
_cell_angle_gamma 90.00
_symmetry_space_group_name_H-M 'C 1 2/c 1'
_symmetry_Int_Tables_number 15
loop_
_symmetry_equiv_pos_as_xyz
'x,y,z'
'-x,-y,-z'
'-x,y,-z+1/2'
'x,-y,z+1/2'
'x+1/2,y+1/2,z'
'-x+1/2,-y+1/2,-z'
'-x+1/2,y+1/2,-z+1/2'
'x+1/2,-y+1/2,z+1/2'
loop_
_atom_site_label
_atom_site_type_symbol
_atom_site_fract_x
_atom_site_fract_y
_atom_site_fract_z
Zr1 Zr 0.1125 0.0910 0.0917
Zr2 Zr 0.2209 0.0837 0.4075
Fe1 Fe 0.0000 0.1049 0.2500
Fe2 Fe 0.2391 0.1752 0.7494
Mo1 Mo 0.0337 0.4191 0.8702
N1 N 0.0777 0.2694 0.5004
N2 N 0.2500 0.2500 0.0000
```


10.
Diffraction record for FeMoP. The powder XRD pattern is theoretical, not measured: it uses a crystal structure in OQMD, relaxed with PBE and λ = 1.5418 Å (Cu Kα).
Peak positions follow from Bragg's law for the DFT cell and can differ from measured ones.

The 10 most intense peaks (2θ from 10° to 90°), by angle:
2θ (°)  I (rel.)  (hkl)
27.73  19.3  0 1 1
39.23  29.2  2 1 0
39.48  100.0  1 1 2
41.56  79.6  2 1 1
43.24  36.6  1 0 3
47.61  18.3  0 1 3
48.27  20.5  3 0 1
49.75  35.7  0 2 0
68.00  18.2  1 2 3
79.54  17.2  3 1 4

Crystal structure
```
data_FeMoP
_chemical_formula_sum 'Fe4 Mo4 P4'
_cell_length_a 5.8929
_cell_length_b 3.6652
_cell_length_c 6.7140
_cell_angle_alpha 90.00
_cell_angle_beta 90.00
_cell_angle_gamma 90.00
_symmetry_space_group_name_H-M 'P n m a'
_symmetry_Int_Tables_number 62
loop_
_symmetry_equiv_pos_as_xyz
'x,y,z'
'-x,-y,-z'
'-x+1/2,-y,z+1/2'
'x+1/2,y,-z+1/2'
'x+1/2,-y+1/2,-z+1/2'
'-x+1/2,y+1/2,z+1/2'
'-x,y+1/2,-z'
'x,-y+1/2,z'
loop_
_atom_site_label
_atom_site_type_symbol
_atom_site_fract_x
_atom_site_fract_y
_atom_site_fract_z
Fe1 Fe 0.1401 0.2500 0.0626
Mo1 Mo 0.0273 0.2500 0.6728
P1 P 0.2299 0.7500 0.8795
```


11.
Diffraction record for Fe2MoP12. The powder XRD pattern is theoretical, not measured: it uses a crystal structure in OQMD, relaxed with PBE and λ = 1.5418 Å (Cu Kα).
Peak positions follow from Bragg's law for the DFT cell and can differ from measured ones.

The 10 most intense peaks (2θ from 10° to 90°), by angle:
2θ (°)  I (rel.)  (hkl)
23.32  97.3  1 1 2
30.59  48.7  4 0 2
32.89  49.1  1 0 4
34.52  51.7  4 1 2
34.91  58.5  3 1 3
36.31  46.9  5 1 0
37.90  49.4  3 0 4
48.28  63.4  4 2 3
51.95  100.0  7 1 2
52.30  67.6  0 2 5

Crystal structure
```
data_Fe2MoP12
_chemical_formula_sum 'Fe8 Mo4 P48'
_cell_length_a 13.7479
_cell_length_b 5.6753
_cell_length_c 11.1123
_cell_angle_alpha 90.00
_cell_angle_beta 90.00
_cell_angle_gamma 90.00
_symmetry_space_group_name_H-M 'P b c n'
_symmetry_Int_Tables_number 60
loop_
_symmetry_equiv_pos_as_xyz
'x,y,z'
'-x,-y,-z'
'-x+1/2,-y+1/2,z+1/2'
'x+1/2,y+1/2,-z+1/2'
'x+1/2,-y+1/2,-z'
'-x+1/2,y+1/2,z'
'-x,y,-z+1/2'
'x,-y,z+1/2'
loop_
_atom_site_label
_atom_site_type_symbol
_atom_site_fract_x
_atom_site_fract_y
_atom_site_fract_z
Fe1 Fe 0.1503 0.1034 0.0411
Mo1 Mo 0.0000 0.3990 0.7500
P1 P 0.0085 0.2563 0.1017
P2 P 0.0869 0.0623 0.8558
P3 P 0.0916 0.2653 0.5611
P4 P 0.1679 0.4843 0.3042
P5 P 0.1895 0.1185 0.2290
P6 P 0.2029 0.4669 0.0002
```


12.
Diffraction record for Fe2Mo3Pb2. The powder XRD pattern is theoretical, not measured: it uses a crystal structure in OQMD, relaxed with PBE and λ = 1.5418 Å (Cu Kα).
Peak positions follow from Bragg's law for the DFT cell and can differ from measured ones.

The 10 most intense peaks (2θ from 10° to 90°), by angle:
2θ (°)  I (rel.)  (hkl)
24.74  26.8  0 1 2
31.64  25.6  0 1 5
38.15  100.0  1 0 7
40.78  89.3  1 1 0
57.07  30.5  0 2 7
67.16  15.2  0 1 14
68.49  15.7  1 1 12
72.49  30.1  2 1 7
74.23  15.1  3 0 0
88.34  10.1  2 2 0

Crystal structure
```
data_Fe2Mo3Pb2
_chemical_formula_sum 'Fe6 Mo9 Pb6'
_cell_length_a 4.4255
_cell_length_b 4.4255
_cell_length_c 20.9491
_cell_angle_alpha 90.00
_cell_angle_beta 90.00
_cell_angle_gamma 120.00
_symmetry_space_group_name_H-M 'R 3 m'
_symmetry_Int_Tables_number 160
_symmetry_space_group_name_Hall 'R 3 -2"'
loop_
_atom_site_label
_atom_site_type_symbol
_atom_site_fract_x
_atom_site_fract_y
_atom_site_fract_z
Fe1 Fe 0.0000 0.0000 0.0000
Fe2 Fe 0.0000 0.0000 0.4498
Mo1 Mo 0.0000 0.0000 0.3043
Mo2 Mo 0.0000 0.0000 0.5884
Mo3 Mo 0.0000 0.0000 0.8841
Pb1 Pb 0.0000 0.0000 0.1586
Pb2 Pb 0.0000 0.0000 0.7266
```